Structure and theoretical powder X-ray diffraction pattern of Ce2ScRh (DFT lattice parameters and positions (GGA-PBE); Cu Kα, 1.54184 Å).

Largest 12 diffraction maxima, by angle, 10° ≤ 2θ ≤ 80°:
two_theta, d/Å, I/Imax
16.8, 5.283, 20
33.2, 2.701, 32
33.5, 2.672, 71
33.9, 2.642, 41
36.0, 2.493, 100
38.7, 2.326, 33
43.9, 2.060, 85
46.0, 1.975, 20
59.0, 1.565, 38
68.6, 1.368, 17
69.8, 1.347, 29
75.6, 1.258, 19

Atomic structure:
```
Ce2ScRh
1.0
1.5652 0.9037 10.5667
-1.5652 0.9037 10.5667
0.0000 -1.8074 10.5667
Ce Sc Rh
2 1 1
Cartesian
0.0000 0.0000 2.9858
0.0000 0.0000 28.7143
0.0000 0.0000 0.0000
0.0000 0.0000 15.8500
```

Structure and theoretical powder X-ray diffraction pattern of SmAg4Au4 (DFT lattice parameters and positions (GGA-PBE); Cu Kα, 1.54184 Å).

Largest 12 diffraction maxima, by angle, 10° ≤ 2θ ≤ 80°:
two_theta, d/Å, I/Imax
14.1, 6.268, 2
20.0, 4.432, 2
22.5, 3.959, 3
30.3, 2.952, 3
36.6, 2.457, 100
40.8, 2.212, 19
43.3, 2.089, 31
61.0, 1.519, 22
62.9, 1.477, 10
71.5, 1.320, 14
75.0, 1.266, 24
77.7, 1.229, 11

Atomic structure:
```
SmAg4Au4
1.0
-4.4321 4.4321 2.2121
4.4321 -4.4321 2.2121
4.4321 4.4321 -2.2121
Sm Ag Au
1 4 4
Cartesian
0.0000 0.0000 0.0000
3.0217 0.0000 0.0000
5.8426 0.0000 0.0000
0.0000 3.0217 0.0000
0.0000 5.8426 0.0000
2.9284 2.9284 0.0000
1.5037 -1.5037 2.2121
-1.5037 1.5037 2.2121
1.5037 1.5037 2.2121
```